[1]
Ta2Al2V: calculated powder X-ray diffraction pattern (Cu Kα X-rays), based on the PBE geometry in Alexandria.
Lines closer than 0.1° are merged.

Structure:
a b c (Å): 6.7613 6.7613 3.5661
angles (deg): 90.00 90.00 90.00
Space group P4/mbm (No. 127)
Unique sites:
Ta 0.1725 0.3275 0.0000 x4
Al 0.1297 0.6297 0.5000 x4
V 0.0000 0.0000 0.5000 x2

Top 8 peaks for 2θ = 10–90°, sorted by position:
hkl	Position (°2θ)	I/Imax
0 0 1	24.97	28
2 0 0	26.36	18
2 1 0	29.54	57
2 0 1	36.63	41
2 1 1	39.06	100
3 1 0	42.27	26
4 1 1	62.32	25
3 3 1	63.99	18

---

[2]
PrCd4Pt4: calculated powder X-ray diffraction pattern (Cu Kα X-rays), based on the PBE geometry in Alexandria.
Lines closer than 0.1° are merged.

Structure:
a b c (Å): 6.3622 6.3622 9.3345
angles (deg): 90.00 90.00 90.00
Space group P4_2/nmc (No. 137, origin choice 2)
Unique sites:
Pr 0.2500 0.7500 0.2500 x2
Cd 0.0212 0.2500 0.1657 x8
Pt 0.0268 0.2500 0.4680 x8

Top 8 peaks for 2θ = 10–90°, sorted by position:
hkl	Position (°2θ)	I/Imax
2 0 1	29.67	51
2 1 1	32.91	62
2 2 0	40.09	48
2 0 3	40.56	100
1 0 4	41.20	25
4 0 0	57.98	24
3 2 4	66.44	26
4 2 3	73.15	28

---

[3]
Tm3Zn7Cu2: calculated powder X-ray diffraction pattern (Cu Kα X-rays), based on the PBE geometry in Alexandria.
Lines closer than 0.1° are merged.

Structure:
a b c (Å): 5.3185 5.3185 25.5233
angles (deg): 90.00 90.00 120.00
Space group R-3m (No. 166, hexagonal axes)
Unique sites:
Tm 0.0000 0.0000 0.0000 x3
Tm 0.0000 0.0000 0.1415 x6
Zn 0.0000 0.0000 0.5000 x3
Zn 0.0045 0.5023 0.9195 x18
Cu 0.0000 0.0000 0.3343 x6

Top 8 peaks for 2θ = 10–90°, sorted by position:
hkl	Position (°2θ)	I/Imax
1 0 7	31.29	45
1 1 0	33.70	51
0 1 8	34.19	37
0 2 1	39.28	39
1 1 6	39.98	100
2 1 7	58.78	16
3 0 6	64.53	23
2 2 0	70.87	22